Diffraction record for Y2MgHg. The X-ray diffraction stick pattern is calculated, not measured: it uses a crystal structure in the Materials Project, relaxed with GGA-PBE and Cu Kα.
Intensities are scaled so that the largest is 100.

Peak list (10 most intense, 2θ = 15–90°, by intensity)
| d_spacing | Rel. int. | (hkl) |
| --- | --- | --- |
| 2.655 | 100 | 2 2 0 |
| 4.336 | 41 | 1 1 1 |
| 1.533 | 37 | 4 2 2 |
| 2.264 | 24 | 3 1 1 |
| 1.877 | 18 | 4 0 0 |
| 1.187 | 16 | 6 2 0 |
| 1.328 | 11 | 4 4 0 |
| 1.723 | 10 | 3 3 1 |
| 1.445 | 8 | 5 1 1 |
| 1.269 | 8 | 5 3 1 |

Crystal structure
Lattice parameters (Å, degrees): 7.510 7.510 7.510 90.00 90.00 90.00
Space group Fm-3m (No. 225)
Asymmetric unit:
Y (0.250, 0.250, 0.250) (multiplicity 8)
Mg (0.000, 0.000, 0.000) (multiplicity 4)
Hg (0.000, 0.000, 0.500) (multiplicity 4)


Diffraction record for Mn3Hg. The X-ray diffraction stick pattern is calculated, not measured: it uses a crystal structure in the Materials Project, relaxed with GGA-PBE and Cu Kα.
Intensities are scaled so that the largest is 100.

Peak list (10 most intense, 2θ = 15–90°, by intensity)
| d_spacing | Rel. int. | (hkl) |
| --- | --- | --- |
| 2.315 | 100 | 1 1 1 |
| 2.005 | 48 | 2 0 0 |
| 4.010 | 46 | 1 0 0 |
| 2.835 | 40 | 1 1 0 |
| 1.209 | 36 | 3 1 1 |
| 1.418 | 30 | 2 2 0 |
| 1.793 | 23 | 2 1 0 |
| 1.637 | 17 | 2 1 1 |
| 1.337 | 11 | 3 0 0 |
| 1.158 | 10 | 2 2 2 |

Crystal structure
Lattice parameters (Å, degrees): 4.010 4.010 4.010 90.00 90.00 90.00
Space group Pm-3m (No. 221)
Asymmetric unit:
Mn (0.000, 0.000, 0.500) (multiplicity 3)
Hg (0.500, 0.500, 0.500) (multiplicity 1)


Diffraction record for Mn2Hg5. The X-ray diffraction stick pattern is calculated, not measured: it uses a crystal structure in the Materials Project, relaxed with GGA-PBE and Cu Kα.
Intensities are scaled so that the largest is 100.

Peak list (10 most intense, 2θ = 15–90°, by intensity)
| d_spacing | Rel. int. | (hkl) |
| --- | --- | --- |
| 2.427 | 100 | 4 1 0 |
| 2.183 | 90 | 3 1 1 |
| 3.017 | 89 | 0 0 1 |
| 3.164 | 81 | 3 1 0 |
| 1.281 | 67 | 7 1 1 |
| 2.501 | 54 | 4 0 0 |
| 2.042 | 53 | 3 2 1 |
| 2.775 | 50 | 3 2 0 |
| 1.891 | 46 | 4 1 1 |
| 2.358 | 32 | 3 3 0 |

Crystal structure
Lattice parameters (Å, degrees): 10.005 10.005 3.017 90.00 90.00 90.00
Space group P4/mbm (No. 127)
Asymmetric unit:
Mn (0.181, 0.319, 0.000) (multiplicity 4)
Hg (0.000, 0.500, 0.500) (multiplicity 2)
Hg (0.064, 0.797, 0.500) (multiplicity 8)


Diffraction record for MnHg4S5. The X-ray diffraction stick pattern is calculated, not measured: it uses a crystal structure in the Materials Project, relaxed with GGA-PBE and Cu Kα.
Intensities are scaled so that the largest is 100.

Peak list (10 most intense, 2θ = 15–90°, by intensity)
| d_spacing | Rel. int. | (hkl) |
| --- | --- | --- |
| 3.420 | 100 | 1 0 5 |
| 2.094 | 53 | 2 0 0 |
| 2.962 | 32 | 1 1 0 |
| 1.785 | 32 | 2 1 5 |
| 1.789 | 15 | 1 0 15 |
| 1.359 | 13 | 2 1 15 |
| 1.208 | 12 | 3 1 10 |
| 1.710 | 9 | 2 0 10 |
| 1.139 | 8 | 3 2 5 |
| 1.358 | 7 | 3 0 5 |

Crystal structure
Lattice parameters (Å, degrees): 4.184 4.184 29.679 90.00 90.00 90.00
Space group I-4m2 (No. 119)
Asymmetric unit:
Mn (0.000, 0.000, 0.000) (multiplicity 2)
Hg (0.000, 0.000, 0.199) (multiplicity 4)
Hg (0.000, 0.000, 0.404) (multiplicity 4)
S (0.000, 0.500, 0.043) (multiplicity 4)
S (0.000, 0.500, 0.250) (multiplicity 2)
S (0.000, 0.500, 0.648) (multiplicity 4)


Diffraction record for MnHg2S3. The X-ray diffraction stick pattern is calculated, not measured: it uses a crystal structure in the Materials Project, relaxed with GGA-PBE and Cu Kα.
Intensities are scaled so that the largest is 100.

Peak list (10 most intense, 2θ = 15–90°, by intensity)
| d_spacing | Rel. int. | (hkl) |
| --- | --- | --- |
| 3.398 | 100 | 1 0 1 |
| 1.773 | 44 | 0 2 1 |
| 2.938 | 40 | 0 1 2 |
| 2.072 | 36 | 1 0 4 |
| 2.082 | 33 | 1 1 0 |
| 3.376 | 29 | 0 0 3 |
| 1.766 | 14 | 0 1 5 |
| 1.351 | 13 | 2 1 1 |
| 1.200 | 13 | 2 1 4 |
| 1.469 | 12 | 0 2 4 |

Crystal structure
Lattice parameters (Å, degrees): 4.1645 4.1645 10.1267 90.00 90.00 120.00
Space group P3m1 (No. 156)
Asymmetric unit:
Mn (0.0000, 0.0000, 0.0000) (multiplicity 1)
Hg (0.3333, 0.6667, 0.6793) (multiplicity 1)
Hg (0.6667, 0.3333, 0.3318) (multiplicity 1)
S (0.0000, 0.0000, 0.2367) (multiplicity 1)
S (0.3333, 0.6667, 0.9362) (multiplicity 1)
S (0.6667, 0.3333, 0.5858) (multiplicity 1)


Diffraction record for MnHg2Te3. The X-ray diffraction stick pattern is calculated, not measured: it uses a crystal structure in the Materials Project, relaxed with GGA-PBE and Cu Kα.
Intensities are scaled so that the largest is 100.

Peak list (10 most intense, 2θ = 15–90°, by intensity)
| d_spacing | Rel. int. | (hkl) |
| --- | --- | --- |
| 3.803 | 100 | 1 0 1 |
| 2.311 | 52 | 1 0 4 |
| 2.333 | 52 | 1 1 0 |
| 1.982 | 32 | 1 1 3 |
| 3.757 | 30 | 0 0 3 |
| 1.343 | 19 | 2 1 4 |
| 1.642 | 18 | 0 2 4 |
| 1.988 | 17 | 0 2 1 |
| 1.969 | 15 | 0 1 5 |
| 1.513 | 14 | 2 1 1 |

Crystal structure
Lattice parameters (Å, degrees): 4.6652 4.6652 11.2716 90.00 90.00 120.00
Space group P3m1 (No. 156)
Asymmetric unit:
Mn (0.0000, 0.0000, 0.0000) (multiplicity 1)
Hg (0.3333, 0.6667, 0.6748) (multiplicity 1)
Hg (0.6667, 0.3333, 0.3333) (multiplicity 1)
Te (0.0000, 0.0000, 0.2419) (multiplicity 1)
Te (0.3333, 0.6667, 0.9320) (multiplicity 1)
Te (0.6667, 0.3333, 0.5868) (multiplicity 1)


Diffraction record for HgN. The X-ray diffraction stick pattern is calculated, not measured: it uses a crystal structure in the Materials Project, relaxed with GGA-PBE and Cu Kα.
Intensities are scaled so that the largest is 100.

Peak list (10 most intense, 2θ = 15–90°, by intensity)
| d_spacing | Rel. int. | (hkl) |
| --- | --- | --- |
| 2.802 | 100 | 1 0 1 |
| 3.070 | 30 | 0 0 2 |
| 1.716 | 29 | 1 0 3 |
| 3.148 | 28 | 1 0 0 |
| 1.564 | 25 | 1 1 2 |
| 1.818 | 23 | 1 1 0 |
| 2.198 | 18 | 1 0 2 |
| 1.525 | 17 | 2 0 1 |
| 1.168 | 15 | 2 1 1 |
| 1.248 | 10 | 2 0 3 |

Crystal structure
Lattice parameters (Å, degrees): 3.6353 3.6353 6.1409 90.00 90.00 120.00
Space group P6_3mc (No. 186)
Asymmetric unit:
Hg (0.3333, 0.6667, 0.0000) (multiplicity 2)
N (0.3333, 0.6667, 0.3585) (multiplicity 2)


Diffraction record for Na2HgP6N2O18. The X-ray diffraction stick pattern is calculated, not measured: it uses a crystal structure in the Materials Project, relaxed with GGA-PBE and Cu Kα.
Intensities are scaled so that the largest is 100.

Peak list (10 most intense, 2θ = 15–90°, by intensity)
| d_spacing | Rel. int. | (hkl) |
| --- | --- | --- |
| 3.183 | 100 | 0 2 3 |
| 3.040 | 68 | 4 0 2 |
| 4.943 | 65 | 2 0 2 |
| 4.127 | 57 | 1 1 -3 |
| 3.850 | 52 | 3 1 -1 |
| 2.583 | 46 | 4 2 -1 |
| 5.191 | 41 | 1 1 -2 |
| 3.156 | 39 | 3 1 -3 |
| 3.966 | 37 | 0 2 1 |
| 3.546 | 35 | 3 1 -2 |

Crystal structure
Lattice parameters (Å, degrees): 13.513 8.221 15.104 90.00 92.11 90.00
Space group C2/c (No. 15)
Asymmetric unit:
Na (0.168, 0.135, 0.422) (multiplicity 8)
Hg (0.000, 0.360, 0.250) (multiplicity 4)
P (0.082, 0.030, 0.121) (multiplicity 8)
P (0.095, 0.314, 0.629) (multiplicity 8)
P (0.229, 0.128, 0.745) (multiplicity 8)
N (0.157, 0.376, 0.963) (multiplicity 8)
O (0.004, 0.153, 0.143) (multiplicity 8)
O (0.027, 0.456, 0.641) (multiplicity 8)
O (0.029, 0.147, 0.626) (multiplicity 8)
O (0.132, 0.053, 0.034) (multiplicity 8)
O (0.158, 0.284, 0.721) (multiplicity 8)
O (0.160, 0.316, 0.551) (multiplicity 8)
O (0.165, 0.021, 0.200) (multiplicity 8)
O (0.176, 0.352, 0.304) (multiplicity 8)
O (0.233, 0.099, 0.843) (multiplicity 8)


Diffraction record for HgSeNO3. The X-ray diffraction stick pattern is calculated, not measured: it uses a crystal structure in the Materials Project, relaxed with GGA-PBE and Cu Kα.
Intensities are scaled so that the largest is 100.

Peak list (10 most intense, 2θ = 15–90°, by intensity)
| d_spacing | Rel. int. | (hkl) |
| --- | --- | --- |
| 4.148 | 100 | 1 1 -1 |
| 3.660 | 90 | 1 1 1 |
| 2.804 | 43 | 2 1 -1 |
| 2.473 | 37 | 0 1 5 |
| 2.897 | 32 | 2 0 -4 |
| 2.656 | 28 | 0 2 0 |
| 2.666 | 27 | 1 0 4 |
| 3.502 | 27 | 0 1 3 |
| 2.303 | 22 | 2 0 -6 |
| 2.598 | 21 | 1 1 -5 |

Crystal structure
Lattice parameters (Å, degrees): 6.672 5.311 14.964 90.00 111.00 90.00
Space group P2_1/c (No. 14)
Asymmetric unit:
Hg (0.138, 0.054, 0.202) (multiplicity 4)
Se (0.195, 0.511, 0.916) (multiplicity 4)
N (0.383, 0.015, 0.124) (multiplicity 4)
O (0.038, 0.592, 0.172) (multiplicity 4)
O (0.123, 0.677, 0.425) (multiplicity 4)
O (0.359, 0.516, 0.848) (multiplicity 4)


Diffraction record for Ti16Hg4N5. The X-ray diffraction stick pattern is calculated, not measured: it uses a crystal structure in the Materials Project, relaxed with GGA-PBE and Cu Kα.
Intensities are scaled so that the largest is 100.

Peak list (10 most intense, 2θ = 15–90°, by intensity)
| d_spacing | Rel. int. | (hkl) |
| --- | --- | --- |
| 3.973 | 100 | 1 0 0 |
| 2.654 | 63 | 1 0 9 |
| 2.208 | 51 | 1 1 9 |
| 3.563 | 47 | 1 0 4 |
| 1.986 | 38 | 2 0 0 |
| 2.099 | 24 | 1 0 13 |
| 3.379 | 23 | 1 0 5 |
| 1.777 | 22 | 2 1 0 |
| 2.472 | 20 | 0 0 13 |
| 2.809 | 19 | 1 1 0 |

Crystal structure
Lattice parameters (Å, degrees): 3.973 3.973 32.140 90.00 90.00 90.00
Space group P4/mmm (No. 123)
Asymmetric unit:
Ti (0.000, 0.000, 0.000) (multiplicity 1)
Ti (0.000, 0.000, 0.074) (multiplicity 2)
Ti (0.000, 0.000, 0.249) (multiplicity 2)
Ti (0.000, 0.000, 0.500) (multiplicity 1)
Ti (0.000, 0.500, 0.000) (multiplicity 2)
Ti (0.000, 0.500, 0.310) (multiplicity 4)
Ti (0.000, 0.500, 0.450) (multiplicity 4)
Hg (0.000, 0.000, 0.161) (multiplicity 2)
Hg (0.000, 0.000, 0.379) (multiplicity 2)
N (0.500, 0.500, 0.043) (multiplicity 2)
N (0.500, 0.500, 0.303) (multiplicity 2)
N (0.500, 0.500, 0.500) (multiplicity 1)


Diffraction record for Na8Hg3. The X-ray diffraction stick pattern is calculated, not measured: it uses a crystal structure in the Materials Project, relaxed with GGA-PBE and Cu Kα.
Intensities are scaled so that the largest is 100.

Peak list (10 most intense, 2θ = 15–90°, by intensity)
| d_spacing | Rel. int. | (hkl) |
| --- | --- | --- |
| 4.106 | 100 | 1 1 6 |
| 2.683 | 60 | 3 0 0 |
| 4.492 | 44 | 1 1 3 |
| 2.289 | 41 | 0 3 12 |
| 4.388 | 35 | 0 0 12 |
| 2.800 | 34 | 1 1 15 |
| 2.475 | 28 | 1 1 18 |
| 3.638 | 22 | 1 1 9 |
| 2.246 | 21 | 2 2 6 |
| 1.722 | 17 | 1 4 6 |

Crystal structure
Lattice parameters (Å, degrees): 9.2930 9.2930 52.6360 90.00 90.00 120.00
Space group R-3c (No. 167, hexagonal axes)
Asymmetric unit:
Na (0.0000, 0.0000, 0.0614) (multiplicity 12)
Na (0.0000, 0.0000, 0.2197) (multiplicity 12)
Na (0.0061, 0.2577, 0.1145) (multiplicity 36)
Na (0.0069, 0.3651, 0.8515) (multiplicity 36)
Hg (0.0000, 0.0000, 0.0000) (multiplicity 6)
Hg (0.0000, 0.0000, 0.1581) (multiplicity 12)
Hg (0.0000, 0.3154, 0.2500) (multiplicity 18)